For Sb4TePb6, the GGA-PBE geometry in Alexandria gives the calculated X-ray powder pattern in this record (Cu Kα X-rays).
Intensities are scaled so that the largest is 100.

Structural model:
```
22
Lattice="2.2823 -7.4749 0.0000 2.2823 7.4749 0.0000 0.0000 0.0000 22.3784" Properties=species:S:1:pos:R:3 pbc="T T T"
Sb 2.2823 6.1565 14.1044
Sb 2.2823 6.1565 19.4631
Sb 2.2823 2.0183 12.2223
Sb 2.2823 2.0183 21.3453
Sb 2.2823 -2.0183 1.0331
Sb 2.2823 -2.0183 10.1561
Sb 2.2823 -6.1565 2.9153
Sb 2.2823 -6.1565 8.2739
Te 2.2823 4.8564 5.5946
Te 2.2823 -4.8564 16.7838
Pb 0.0000 0.0000 0.0000
Pb 0.0000 0.0000 11.1892
Pb 2.2823 4.6743 16.7838
Pb 2.2823 3.3531 1.7917
Pb 2.2823 3.3531 9.3975
Pb 2.2823 0.6327 14.9473
Pb 2.2823 0.6327 18.6202
Pb 2.2823 -0.6327 3.7582
Pb 2.2823 -0.6327 7.4310
Pb 2.2823 -3.3531 12.9809
Pb 2.2823 -3.3531 20.5866
Pb 2.2823 -4.6743 5.5946
```

Main lines, low angle first (5° ≤ 2θ ≤ 70°):
2θ/deg	I/Imax
26.7	88
26.8	43
27.7	100
29.1	45
38.2	41
39.5	76
41.4	24
41.8	17
48.3	36
48.9	23